(1)
Structure and theoretical X-ray powder pattern of DyHoMg5 (a cell relaxed with PBE; CuKα).
Kinematic intensities with the Lorentz-polarization factor, no thermal factor.

Top 10 peaks for 15° ≤ 2θ ≤ 90°, by angle:
d/Å  I (rel.)
4.852  49
4.640  100
3.458  68
2.759  49
2.642  34
2.597  59
2.545  54
2.426  22
2.128  18
1.527  19

Atomic structure:
```
DyHoMg5
1.0
6.3629 0.0000 0.0000
0.0000 9.7031 0.0000
-2.2373 0.0000 6.1485
Dy Ho Mg
2 2 10
Cartesian
0.0000 0.0000 0.0000
3.1814 4.8516 0.0000
-1.1187 4.8516 3.0742
2.0628 0.0000 3.0742
-1.1187 0.0000 3.0742
0.7992 2.7891 1.3825
0.7992 6.9140 1.3825
0.1449 2.0625 4.7659
0.1449 7.6406 4.7659
2.0628 4.8516 3.0742
3.9806 2.0625 1.3825
3.9806 7.6406 1.3825
3.3264 2.7891 4.7659
3.3264 6.9140 4.7659
```



(2)
Structure and theoretical X-ray powder pattern of NdDy2Ho4Mg (a cell relaxed with PBE; CuKα).
Kinematic intensities with the Lorentz-polarization factor, no thermal factor.

Top 10 peaks for 15° ≤ 2θ ≤ 90°, by angle:
d/Å  I (rel.)
2.886  57
2.744  100
2.041  21
1.853  8
1.637  43
1.559  18
1.372  12
1.291  10
1.277  9
1.182  7

Atomic structure:
```
NdDy2Ho4Mg
1.0
5.7715 0.0000 0.0000
0.0000 5.7715 0.0000
0.0000 0.0000 7.4123
Nd Dy Ho Mg
1 2 4 1
Cartesian
0.0000 0.0000 0.0000
0.0000 0.0000 3.7062
2.8857 2.8857 3.7062
0.0000 2.8857 1.8171
0.0000 2.8857 5.5952
2.8857 0.0000 1.8171
2.8857 0.0000 5.5952
2.8857 2.8857 0.0000
```



(3)
Structure and theoretical X-ray powder pattern of Dy2HoMgRh4 (a cell relaxed with PBE; CuKα).
Kinematic intensities with the Lorentz-polarization factor, no thermal factor.

Top 10 peaks for 15° ≤ 2θ ≤ 90°, by angle:
d/Å  I (rel.)
4.040  5
3.870  5
3.076  4
2.370  100
2.021  2
1.745  2
1.676  17
1.368  25
1.367  9
1.185  11

Atomic structure:
```
Dy2HoMgRh4
1.0
2.3685 1.3674 7.7472
-2.3685 1.3674 7.7472
0.0000 -2.7349 7.7472
Dy Ho Mg Rh
2 1 1 4
Cartesian
0.0000 0.0000 5.6913
0.0000 0.0000 17.5504
0.0000 0.0000 0.0000
0.0000 0.0000 11.6208
0.0000 0.0000 2.8937
0.0000 0.0000 8.7380
0.0000 0.0000 14.5036
0.0000 0.0000 20.3479
```



(4)
Structure and theoretical X-ray powder pattern of Sm2Dy2HoMg5 (a cell relaxed with PBE; CuKα).
Kinematic intensities with the Lorentz-polarization factor, no thermal factor.

Top 10 peaks for 15° ≤ 2θ ≤ 90°, by angle:
d/Å  I (rel.)
5.073  91
3.350  46
3.013  22
2.796  100
2.569  20
2.540  68
2.022  23
1.921  16
1.509  17
1.399  14

Atomic structure:
```
Sm2Dy2HoMg5
1.0
10.5940 0.0000 0.0000
0.0000 10.5940 0.0000
0.0000 0.0000 5.0729
Sm Dy Ho Mg
4 4 2 10
Cartesian
1.8777 3.4192 0.0000
3.4192 8.7162 0.0000
7.1747 1.8777 0.0000
8.7162 7.1747 0.0000
1.2717 6.5686 0.0000
4.0253 1.2717 0.0000
6.5686 9.3223 0.0000
9.3223 4.0253 0.0000
0.0000 0.0000 0.0000
5.2970 5.2970 0.0000
0.0000 5.2970 2.5365
0.7335 8.5037 2.5365
2.0903 0.7335 2.5365
3.2067 6.0305 2.5365
4.5635 3.2067 2.5365
5.2970 0.0000 2.5365
6.0305 7.3873 2.5365
7.3873 4.5635 2.5365
8.5037 9.8605 2.5365
9.8605 2.0903 2.5365
```



What is the formula in the third record?
Dy2HoMgRh4